Theoretical PXRD pattern of FeO for Cu Kα, 1.54184 Å, from a structure optimized by DFT (PBE+U).
Kinematic intensities with the Lorentz-polarization factor, no thermal factor.

Structural model:
```
data_FeO
_chemical_formula_sum 'Fe2 O2'
_cell_length_a 3.0636
_cell_length_b 3.0636
_cell_length_c 5.4465
_cell_angle_alpha 90.00
_cell_angle_beta 90.00
_cell_angle_gamma 90.00
_space_group_name_H-M_alt 'P 42/m m c'
_space_group_IT_number 131
_space_group_name_Hall '-P 4c 2'
loop_
_atom_site_label
_atom_site_type_symbol
_atom_site_fract_x
_atom_site_fract_y
_atom_site_fract_z
_atom_site_occupancy
Fe1 Fe 0.0000 0.5000 0.0000 1
O1 O 0.0000 0.0000 0.2500 1
```

Most intense lines, 15 to 90 degrees two-theta, sorted by position:
- 29.15 deg, rel. 6, hkl 1 0 0
- 32.89 deg, rel. 13, hkl 0 0 2
- 33.56 deg, rel. 100, hkl 1 0 1
- 41.69 deg, rel. 14, hkl 1 1 0
- 54.10 deg, rel. 36, hkl 1 1 2
- 59.15 deg, rel. 17, hkl 1 0 3
- 60.43 deg, rel. 12, hkl 2 0 0
- 70.54 deg, rel. 6, hkl 2 0 2
- 70.93 deg, rel. 19, hkl 2 1 1
- 89.65 deg, rel. 10, hkl 2 1 3


Theoretical PXRD pattern of FeO for Cu Kα, 1.54184 Å, from a structure optimized by DFT (PBE+U).
Kinematic intensities with the Lorentz-polarization factor, no thermal factor.

Structural model:
```
data_FeO
_chemical_formula_sum 'Fe6 O6'
_cell_length_a 3.7094
_cell_length_b 10.4475
_cell_length_c 4.3316
_cell_angle_alpha 90.00
_cell_angle_beta 90.00
_cell_angle_gamma 90.00
_space_group_name_H-M_alt 'P m m n'
_space_group_IT_number 59
loop_
_space_group_symop_operation_xyz
'x,y,z'
'-x,-y,-z'
'-x+1/2,-y+1/2,z'
'x+1/2,y+1/2,-z'
'x+1/2,-y,-z'
'-x+1/2,y,z'
'-x,y+1/2,-z'
'x,-y+1/2,z'
loop_
_atom_site_label
_atom_site_type_symbol
_atom_site_fract_x
_atom_site_fract_y
_atom_site_fract_z
_atom_site_occupancy
Fe1 Fe 0.2500 0.0962 0.1437 1
Fe2 Fe 0.2500 0.7500 0.3422 1
O1 O 0.2500 0.2500 0.4234 1
O2 O 0.2500 0.5994 0.0389 1
```

Most intense lines, 15 to 90 degrees two-theta, sorted by position:
- 20.50 deg, rel. 22, hkl 0 0 1
- 26.74 deg, rel. 45, hkl 0 2 1
- 31.76 deg, rel. 100, hkl 1 0 1
- 32.99 deg, rel. 66, hkl 0 3 1
- 35.35 deg, rel. 46, hkl 1 3 0
- 40.32 deg, rel. 32, hkl 0 4 1
- 49.12 deg, rel. 27, hkl 2 0 0
- 51.93 deg, rel. 23, hkl 1 2 2
- 60.92 deg, rel. 28, hkl 1 4 2
- 62.73 deg, rel. 20, hkl 1 6 1


Theoretical PXRD pattern of FeO for Cu Kα, 1.54184 Å, from a structure optimized by DFT (PBE+U).
Kinematic intensities with the Lorentz-polarization factor, no thermal factor.

Structural model:
```
data_FeO
_chemical_formula_sum 'Fe12 O12'
_cell_length_a 5.3093
_cell_length_b 5.3093
_cell_length_c 10.5094
_cell_angle_alpha 90.00
_cell_angle_beta 90.00
_cell_angle_gamma 120.00
_space_group_name_H-M_alt 'P 3 1 c'
_space_group_IT_number 159
loop_
_space_group_symop_operation_xyz
'x,y,z'
'-y,x-y,z'
'-x+y,-x,z'
'y,x,z+1/2'
'x-y,-y,z+1/2'
'-x,-x+y,z+1/2'
loop_
_atom_site_label
_atom_site_type_symbol
_atom_site_fract_x
_atom_site_fract_y
_atom_site_fract_z
_atom_site_occupancy
Fe1 Fe 0.0001 0.3367 0.0000 1
Fe2 Fe 0.0069 0.3322 0.2502 1
O1 O 0.0000 0.0000 0.1155 1
O2 O 0.0086 0.6722 0.3768 1
O3 O 0.3333 0.6667 0.1178 1
O4 O 0.3333 0.6667 0.6346 1
```

Most intense lines, 15 to 90 degrees two-theta, sorted by position:
- 33.76 deg, rel. 88, hkl 1 1 0
- 34.13 deg, rel. 20, hkl 0 0 4
- 37.97 deg, rel. 10, hkl 2 -1 2
- 48.77 deg, rel. 100, hkl 1 1 4
- 60.40 deg, rel. 30, hkl 3 0 0
- 71.01 deg, rel. 9, hkl 2 2 0
- 71.23 deg, rel. 14, hkl 3 0 4
- 71.87 deg, rel. 5, hkl 0 0 8
- 81.19 deg, rel. 19, hkl 4 -2 4
- 81.80 deg, rel. 12, hkl 2 -1 8